# 1
Simulated XRD peak list
Compound: Mg4CdCuRh2
Radiation: CuKα
Structure: a crystal structure in Alexandria, relaxed with PBE
Lines closer than 0.1° are merged.

Top 10 peaks for 5 to 70 degrees two-theta, low angle first:
Position (°2θ)  I/Imax
11.97  2.7
22.98  1.4
24.04  0.8
27.82  46.0
30.38  0.8
36.42  1.8
39.75  100.0
49.22  12.5
57.48  16.2
65.04  15.9

Structural model:
Lattice parameters (Å, degrees): 7.845 7.845 7.845 33.62 33.62 33.62
Atoms (fractional coordinates):
Mg 0.119 0.119 0.119
Mg 0.370 0.370 0.370
Mg 0.630 0.630 0.630
Mg 0.881 0.881 0.881
Cd 0.500 0.500 0.500
Cu 0.000 0.000 0.000
Rh 0.248 0.248 0.248
Rh 0.752 0.752 0.752

***

# 2
Simulated XRD peak list
Compound: K3NaCd2H8
Radiation: CuKα
Structure: a crystal structure in Alexandria, relaxed with PBE
Lines closer than 0.1° are merged.

Top 10 peaks for 5 to 70 degrees two-theta, low angle first:
Position (°2θ)  I/Imax
17.06  21.9
20.59  64.6
23.02  14.9
28.79  83.9
29.77  100.0
37.97  22.2
39.03  20.7
41.89  30.6
52.23  29.0
52.83  18.1

Structural model:
Lattice parameters (Å, degrees): 6.003 6.003 7.726 90.00 90.00 120.00
Atoms (fractional coordinates):
K 0.000 0.000 0.000
K 0.333 0.667 0.660
K 0.667 0.333 0.340
Na 0.000 0.000 0.500
Cd 0.333 0.667 0.217
Cd 0.667 0.333 0.783
H 0.170 0.341 0.316
H 0.170 0.830 0.316
H 0.333 0.667 0.987
H 0.341 0.170 0.684
H 0.659 0.830 0.316
H 0.667 0.333 0.013
H 0.830 0.170 0.684
H 0.830 0.659 0.684

***

# 3
Simulated XRD peak list
Compound: Li2CaCu3
Radiation: CuKα
Structure: a crystal structure in Alexandria, relaxed with PBE
Lines closer than 0.1° are merged.

Top 10 peaks for 5 to 70 degrees two-theta, low angle first:
Position (°2θ)  I/Imax
21.90  71.9
29.42  100.0
39.31  39.3
39.45  77.9
40.74  34.8
44.65  30.3
45.45  25.2
45.57  49.9
60.98  19.6
61.08  39.0

Structural model:
Lattice parameters (Å, degrees): 5.269 9.167 4.059 90.00 90.00 90.00
Atoms (fractional coordinates):
Li 0.000 0.166 0.000
Li 0.000 0.834 0.000
Li 0.500 0.334 0.000
Li 0.500 0.666 0.000
Ca 0.000 0.500 0.000
Ca 0.500 0.000 0.000
Cu 0.000 0.000 0.500
Cu 0.250 0.250 0.500
Cu 0.250 0.750 0.500
Cu 0.500 0.500 0.500
Cu 0.750 0.250 0.500
Cu 0.750 0.750 0.500

***

# 4
Simulated XRD peak list
Compound: Sr3SbAsCl
Radiation: CuKα
Structure: a crystal structure in Alexandria, relaxed with PBE
Lines closer than 0.1° are merged.

Top 10 peaks for 5 to 70 degrees two-theta, low angle first:
Position (°2θ)  I/Imax
14.17  58.4
21.81  51.4
22.14  57.3
27.88  100.0
30.20  55.7
33.48  66.1
34.70  70.5
38.32  93.3
38.42  47.7
40.84  78.5

Structural model:
Lattice parameters (Å, degrees): 8.927 8.927 6.898 110.47 110.47 68.44
Atoms (fractional coordinates):
Sr 0.088 0.699 0.613
Sr 0.301 0.912 0.387
Sr 0.313 0.313 0.947
Sr 0.687 0.687 0.053
Sr 0.699 0.088 0.613
Sr 0.912 0.301 0.387
Sb 0.295 0.295 0.415
Sb 0.705 0.705 0.585
As 0.068 0.068 0.703
As 0.932 0.932 0.297
Cl 0.337 0.663 0.000
Cl 0.663 0.337 0.000

***

# 5
Simulated XRD peak list
Compound: TmPa2AgO8
Radiation: CuKα
Structure: a crystal structure in Alexandria, relaxed with PBE
Lines closer than 0.1° are merged.

Top 10 peaks for 5 to 70 degrees two-theta, low angle first:
Position (°2θ)  I/Imax
18.44  9.0
28.73  100.0
33.29  34.1
38.35  2.6
45.35  2.9
47.80  50.7
56.64  15.2
56.76  30.3
59.49  9.7
69.98  5.2

Structural model:
Lattice parameters (Å, degrees): 6.598 6.598 6.598 131.91 131.91 70.38
Atoms (fractional coordinates):
Tm 0.000 0.000 0.000
Pa 0.250 0.750 0.500
Pa 0.500 0.500 0.000
Ag 0.750 0.250 0.500
O 0.140 0.121 0.506
O 0.140 0.634 0.019
O 0.366 0.384 0.506
O 0.366 0.860 0.981
O 0.616 0.121 0.981
O 0.616 0.634 0.494
O 0.879 0.384 0.019
O 0.879 0.860 0.494

***

# 6
Simulated XRD peak list
Compound: Tb2Ho7In2
Radiation: CuKα
Structure: a crystal structure in Alexandria, relaxed with PBE
Lines closer than 0.1° are merged.

Top 10 peaks for 5 to 70 degrees two-theta, low angle first:
Position (°2θ)  I/Imax
27.23  61.4
30.09  99.2
32.56  72.6
33.48  81.4
33.60  100.0
35.39  59.8
36.48  30.1
54.46  29.5
58.76  39.4
64.91  31.6

Structural model:
Lattice parameters (Å, degrees): 10.346 10.346 10.346 159.93 68.04 115.77
Atoms (fractional coordinates):
Tb 0.219 0.000 0.219
Tb 0.781 0.000 0.781
Ho 0.088 0.742 0.346
Ho 0.395 0.501 0.894
Ho 0.395 0.742 0.654
Ho 0.583 0.257 0.327
Ho 0.607 0.501 0.106
Ho 0.930 0.257 0.673
Ho 0.936 0.936 0.000
In 0.241 0.241 0.000
In 0.693 0.193 0.500

***

# 7
Simulated XRD peak list
Compound: LiAc2ScIn6
Radiation: CuKα
Structure: a crystal structure in Alexandria, relaxed with PBE
Lines closer than 0.1° are merged.

Top 10 peaks for 5 to 70 degrees two-theta, low angle first:
Position (°2θ)  I/Imax
24.03  15.0
29.55  100.0
34.25  60.4
42.27  6.1
49.20  34.7
49.29  6.9
58.43  27.1
58.50  13.4
61.26  6.9
61.39  6.8

Structural model:
Lattice parameters (Å, degrees): 7.405 7.405 7.395 119.94 119.94 90.01
Atoms (fractional coordinates):
Li 0.000 0.000 0.000
Ac 0.250 0.750 0.500
Ac 0.750 0.250 0.500
Sc 0.500 0.500 0.000
In 0.233 0.233 0.999
In 0.234 0.766 0.000
In 0.235 0.235 0.468
In 0.765 0.765 0.532
In 0.766 0.234 0.000
In 0.767 0.767 0.001

***

# 8
Simulated XRD peak list
Compound: LiCaTb
Radiation: CuKα
Structure: a crystal structure in Alexandria, relaxed with PBE
Lines closer than 0.1° are merged.

Top 10 peaks for 5 to 70 degrees two-theta, low angle first:
Position (°2θ)  I/Imax
9.98  100.0
20.03  13.2
25.53  20.9
29.39  35.5
30.24  9.9
31.63  18.2
32.75  56.2
33.25  12.6
34.23  13.2
57.05  11.2

Structural model:
Lattice parameters (Å, degrees): 3.680 17.733 5.657 90.00 90.00 90.00
Atoms (fractional coordinates):
Li 0.000 0.074 0.250
Li 0.000 0.926 0.750
Li 0.500 0.426 0.750
Li 0.500 0.574 0.250
Ca 0.000 0.410 0.250
Ca 0.000 0.590 0.750
Ca 0.500 0.090 0.750
Ca 0.500 0.910 0.250
Tb 0.000 0.274 0.750
Tb 0.000 0.726 0.250
Tb 0.500 0.226 0.250
Tb 0.500 0.774 0.750